Computed PXRD pattern
Compound: Ba2V3O8
Radiation: Cu Kα (λ = 1.5418 Å)
Structure: the GGA+U geometry in Alexandria
No peak broadening, texture or thermal motion is included.

Largest 6 diffraction maxima, most intense first, 2θ = 10–80°:
| two_theta | d/Å | I/Imax | hkl |
| --- | --- | --- | --- |
| 31.01 | 2.884 | 100 | 1 0 3 |
| 13.69 | 6.470 | 38 | 0 0 2 |
| 32.66 | 2.742 | 37 | 1 1 0 |
| 57.25 | 1.609 | 34 | 2 1 3 |
| 46.85 | 1.939 | 31 | 2 0 0 |
| 41.91 | 2.156 | 26 | 0 0 6 |

Structural model:
```
Ba2V3O8
1.0
3.8781 0.0000 0.0000
0.0000 3.8781 0.0000
0.0000 0.0000 12.9408
Ba V O
2 3 8
Cartesian
0.0000 0.0000 2.1321
0.0000 0.0000 10.8087
1.9390 1.9390 0.0000
1.9390 1.9390 4.0608
1.9390 1.9390 8.8801
0.0000 1.9390 0.0000
0.0000 1.9390 4.1757
0.0000 1.9390 8.7652
1.9390 0.0000 0.0000
1.9390 0.0000 4.1757
1.9390 0.0000 8.7652
1.9390 1.9390 2.1083
1.9390 1.9390 10.8326
```